Record 1
# Li7Ni11O22
Simulated powder diffraction line list, Cu Kα (λ = 1.5418 Å). Input: a DFT-relaxed cell (PBE+U, the Materials Project).

Principal peaks in the range 2θ from 10° to 80°, by angle:
| hkl | two_theta | I_rel |
| --- | --- | --- |
| 0 1 -2 | 18.37 | 100 |
| 1 2 1 | 36.46 | 13 |
| 1 -3 0 | 37.21 | 16 |
| 1 1 3 | 43.84 | 19 |
| 2 1 -3 | 44.55 | 18 |
| 1 -4 2 | 44.74 | 18 |

Structure:
```
data_Li7Ni11O22
_cell_length_a 4.925
_cell_length_b 8.626
_cell_length_c 9.807
_cell_angle_alpha 114.62
_cell_angle_beta 94.49
_cell_angle_gamma 94.61
_space_group_name_H-M_alt 'P -1'
_space_group_IT_number 2
loop_
_space_group_symop_operation_xyz
'x,y,z'
'-x,-y,-z'
loop_
_atom_site_label
_atom_site_fract_x
_atom_site_fract_y
_atom_site_fract_z
Li1 0.000 0.000 0.000
Li2 0.093 0.363 0.184
Li3 0.265 0.085 0.542
Li4 0.373 0.454 0.724
Ni1 0.000 0.500 0.500
Ni2 0.085 0.865 0.678
Ni3 0.181 0.228 0.864
Ni4 0.273 0.593 0.046
Ni5 0.363 0.953 0.223
Ni6 0.462 0.314 0.410
O1 0.044 0.946 0.334
O2 0.062 0.435 0.863
O3 0.123 0.784 0.036
O4 0.151 0.285 0.502
O5 0.210 0.659 0.680
O6 0.213 0.143 0.216
O7 0.290 0.019 0.861
O8 0.319 0.501 0.393
O9 0.400 0.884 0.586
O10 0.412 0.407 0.064
O11 0.499 0.243 0.772
```

Record 2
# MgZn2Fe4O8
Simulated powder diffraction line list, Cu Kα (λ = 1.5418 Å). Input: a DFT-relaxed cell (PBE+U, the Materials Project).

Principal peaks in the range 2θ from 10° to 80°, by angle:
| hkl | two_theta | I_rel |
| --- | --- | --- |
| 0 3 1 | 29.71 | 100 |
| 1 2 0 | 35.50 | 70 |
| 0 4 1 | 36.72 | 57 |
| 1 1 1 | 41.23 | 83 |
| 1 2 -2 | 43.66 | 62 |
| 1 2 2 | 57.18 | 38 |

Structure:
```
data_MgZn2Fe4O8
_cell_length_a 2.953
_cell_length_b 11.144
_cell_length_c 5.327
_cell_angle_alpha 90.00
_cell_angle_beta 105.99
_cell_angle_gamma 90.00
_space_group_name_H-M_alt 'P 1 m 1'
_space_group_IT_number 6
loop_
_space_group_symop_operation_xyz
'x,y,z'
'x,-y,z'
loop_
_atom_site_label
_atom_site_fract_x
_atom_site_fract_y
_atom_site_fract_z
Mg1 0.000 0.000 0.000
Zn1 0.738 0.000 0.472
Zn2 0.930 0.500 0.861
Fe1 0.188 0.341 0.375
Fe2 0.444 0.233 0.889
O1 0.059 0.165 0.120
O2 0.288 0.500 0.574
O3 0.370 0.000 0.739
O4 0.544 0.380 0.086
O5 0.812 0.257 0.624
```

Record 3
# Ba2YMgFe3O8
Simulated powder diffraction line list, Cu Kα (λ = 1.5418 Å). Input: a DFT-relaxed cell (PBE+U, the Materials Project).

Principal peaks in the range 2θ from 10° to 80°, by angle:
| hkl | two_theta | I_rel |
| --- | --- | --- |
| 0 1 3 | 27.76 | 67 |
| 0 1 4 | 31.93 | 66 |
| 1 1 0 | 32.55 | 100 |
| 1 0 4 | 34.03 | 89 |
| 0 2 0 | 43.48 | 44 |
| 1 1 7 | 53.85 | 49 |

Structure:
```
data_Ba2YMgFe3O8
_cell_length_a 3.664
_cell_length_b 4.163
_cell_length_c 15.164
_cell_angle_alpha 90.00
_cell_angle_beta 90.00
_cell_angle_gamma 90.00
_space_group_name_H-M_alt 'P m m 2'
_space_group_IT_number 25
loop_
_space_group_symop_operation_xyz
'x,y,z'
'-x,-y,z'
'-x,y,z'
'x,-y,z'
loop_
_atom_site_label
_atom_site_fract_x
_atom_site_fract_y
_atom_site_fract_z
Ba1 0.000 0.000 0.000
Ba2 0.000 0.000 0.269
Y1 0.000 0.000 0.742
Mg1 0.000 0.000 0.550
Fe1 0.500 0.500 0.121
Fe2 0.500 0.500 0.448
Fe3 0.500 0.500 0.857
O1 0.000 0.500 0.151
O2 0.000 0.500 0.501
O3 0.000 0.500 0.787
O4 0.500 0.000 0.133
O5 0.500 0.000 0.620
O6 0.500 0.000 0.831
O7 0.500 0.500 0.326
O8 0.500 0.500 0.990
```

Record 4
# CeNiAsO
Simulated powder diffraction line list, Cu Kα (λ = 1.5418 Å). Input: a DFT-relaxed cell (PBE+U, the Materials Project).

Principal peaks in the range 2θ from 10° to 80°, by angle:
| hkl | two_theta | I_rel |
| --- | --- | --- |
| 1 1 0 | 31.52 | 22 |
| 1 0 2 | 31.77 | 100 |
| 1 1 2 | 39.06 | 33 |
| 2 0 0 | 45.17 | 40 |
| 2 1 2 | 56.28 | 39 |
| 1 1 4 | 56.75 | 27 |

Structure:
```
data_CeNiAsO
_cell_length_a 4.015
_cell_length_b 4.015
_cell_length_c 7.907
_cell_angle_alpha 90.00
_cell_angle_beta 90.00
_cell_angle_gamma 90.00
_space_group_name_H-M_alt 'P 4/n m m'
_space_group_IT_number 129
loop_
_space_group_symop_operation_xyz
'x,y,z'
'-x,-y,-z'
'-y+1/2,x,z'
'y+1/2,-x,-z'
'-x+1/2,-y+1/2,z'
'x+1/2,y+1/2,-z'
'y,-x+1/2,z'
'-y,x+1/2,-z'
'x+1/2,-y,-z'
'-x+1/2,y,z'
'-y,-x,-z'
'y,x,z'
'-x,y+1/2,-z'
'x,-y+1/2,z'
'y+1/2,x+1/2,-z'
'-y+1/2,-x+1/2,z'
loop_
_atom_site_label
_atom_site_fract_x
_atom_site_fract_y
_atom_site_fract_z
Ce1 0.250 0.250 0.155
Ni1 0.250 0.750 0.500
As1 0.250 0.250 0.649
O1 0.250 0.750 0.000
```

Record 5
# MnHC4O4
Simulated powder diffraction line list, Cu Kα (λ = 1.5418 Å). Input: a DFT-relaxed cell (PBE+U, the Materials Project).

Principal peaks in the range 2θ from 10° to 80°, by angle:
| hkl | two_theta | I_rel |
| --- | --- | --- |
| 0 1 1 | 11.88 | 64 |
| 0 0 2 | 12.83 | 49 |
| 1 0 1 | 13.19 | 47 |
| 2 1 4 | 31.09 | 100 |
| 2 1 -3 | 31.59 | 47 |
| 1 3 -1 | 33.09 | 44 |

Structure:
```
data_MnHC4O4
_cell_length_a 8.284
_cell_length_b 8.939
_cell_length_c 14.215
_cell_angle_alpha 76.61
_cell_angle_beta 80.95
_cell_angle_gamma 63.81
_space_group_name_H-M_alt 'P -1'
_space_group_IT_number 2
loop_
_space_group_symop_operation_xyz
'x,y,z'
'-x,-y,-z'
loop_
_atom_site_label
_atom_site_fract_x
_atom_site_fract_y
_atom_site_fract_z
Mn1 0.025 0.106 0.209
Mn2 0.190 0.501 0.782
Mn3 0.316 0.761 0.653
H1 0.054 0.682 0.824
H2 0.128 0.917 0.700
H3 0.340 0.554 0.699
C1 0.047 0.424 0.871
C2 0.051 0.528 0.683
C3 0.118 0.876 0.231
C4 0.120 0.880 0.884
C5 0.163 0.094 0.304
C6 0.174 0.786 0.556
C7 0.203 0.110 0.115
C8 0.324 0.964 0.599
C9 0.336 0.468 0.880
C10 0.338 0.288 0.762
C11 0.465 0.727 0.749
C12 0.487 0.360 0.420
O1 0.031 0.467 0.377
O2 0.041 0.627 0.071
O3 0.093 0.806 0.492
O4 0.180 0.728 0.244
O5 0.202 0.877 0.943
O6 0.255 0.079 0.362
O7 0.315 0.110 0.055
O8 0.324 0.095 0.567
O9 0.366 0.435 0.468
O10 0.428 0.436 0.941
O11 0.432 0.149 0.754
O12 0.433 0.296 0.196
```

Record 6
# LiV2P4H2O16
Simulated powder diffraction line list, Cu Kα (λ = 1.5418 Å). Input: a DFT-relaxed cell (PBE+U, the Materials Project).

Principal peaks in the range 2θ from 10° to 80°, by angle:
| hkl | two_theta | I_rel |
| --- | --- | --- |
| 1 -1 1 | 16.74 | 78 |
| 1 0 -2 | 22.78 | 61 |
| 1 1 1 | 25.05 | 100 |
| 1 2 -2 | 25.79 | 70 |
| 2 -2 0 | 29.58 | 85 |
| 2 2 -2 | 33.85 | 50 |

Structure:
```
data_LiV2P4H2O16
_cell_length_a 7.375
_cell_length_b 9.280
_cell_length_c 9.287
_cell_angle_alpha 116.54
_cell_angle_beta 97.57
_cell_angle_gamma 97.52
_space_group_name_H-M_alt 'P 1'
_space_group_IT_number 1
loop_
_space_group_symop_operation_xyz
'x,y,z'
loop_
_atom_site_label
_atom_site_fract_x
_atom_site_fract_y
_atom_site_fract_z
Li1 0.000 0.000 0.000
Li2 0.199 0.397 0.895
V1 0.360 0.137 0.271
V2 0.360 0.636 0.755
V3 0.838 0.132 0.757
V4 0.848 0.634 0.263
P1 0.086 0.247 0.527
P2 0.088 0.743 0.028
P3 0.113 0.369 0.152
P4 0.118 0.871 0.652
P5 0.578 0.890 0.373
P6 0.583 0.397 0.875
P7 0.617 0.024 0.003
P8 0.629 0.521 0.503
H1 0.339 0.108 0.747
H2 0.344 0.621 0.257
H3 0.862 0.645 0.782
H4 0.863 0.149 0.288
O1 0.003 0.783 0.472
O2 0.005 0.286 0.969
O3 0.028 0.698 0.159
O4 0.038 0.213 0.666
O5 0.161 0.232 0.190
O6 0.177 0.737 0.695
O7 0.193 0.925 0.111
O8 0.203 0.431 0.614
O9 0.211 0.627 0.931
O10 0.214 0.137 0.434
O11 0.289 0.485 0.163
O12 0.298 0.983 0.664
O13 0.403 0.286 0.858
O14 0.406 0.771 0.355
O15 0.482 0.128 0.093
O16 0.491 0.631 0.595
O17 0.501 0.839 0.909
O18 0.509 0.343 0.414
O19 0.530 0.534 0.831
O20 0.533 0.022 0.327
O21 0.664 0.069 0.869
O22 0.674 0.567 0.368
O23 0.697 0.982 0.555
O24 0.699 0.488 0.057
O25 0.714 0.308 0.766
O26 0.718 0.799 0.269
O27 0.796 0.039 0.114
O28 0.801 0.543 0.622
O29 0.903 0.232 0.415
O30 0.911 0.736 0.913
O31 0.983 0.466 0.262
O32 0.994 0.965 0.768
```

Record 7
# Na2CoH4C4O8
Simulated powder diffraction line list, Cu Kα (λ = 1.5418 Å). Input: a DFT-relaxed cell (PBE+U, the Materials Project).

Principal peaks in the range 2θ from 10° to 80°, by angle:
| hkl | two_theta | I_rel |
| --- | --- | --- |
| 2 0 0 | 11.48 | 100 |
| 1 1 -1 | 16.30 | 35 |
| 1 1 1 | 19.05 | 22 |
| 3 1 -1 | 20.92 | 17 |
| 3 1 1 | 27.08 | 25 |
| 4 0 -2 | 29.89 | 15 |

Structure:
```
data_Na2CoH4C4O8
_cell_length_a 16.151
_cell_length_b 8.971
_cell_length_c 6.889
_cell_angle_alpha 90.00
_cell_angle_beta 107.96
_cell_angle_gamma 90.00
_space_group_name_H-M_alt 'C 1 2/c 1'
_space_group_IT_number 15
loop_
_space_group_symop_operation_xyz
'x,y,z'
'-x,-y,-z'
'-x,y,-z+1/2'
'x,-y,z+1/2'
'x+1/2,y+1/2,z'
'-x+1/2,-y+1/2,-z'
'-x+1/2,y+1/2,-z+1/2'
'x+1/2,-y+1/2,z+1/2'
loop_
_atom_site_label
_atom_site_fract_x
_atom_site_fract_y
_atom_site_fract_z
Na1 0.104 0.097 0.184
Co1 0.250 0.250 0.000
H1 0.072 0.342 0.626
H2 0.149 0.449 0.408
C1 0.084 0.220 0.642
C2 0.195 0.442 0.316
O1 0.053 0.139 0.487
O2 0.128 0.172 0.818
O3 0.187 0.326 0.207
O4 0.248 0.452 0.829
```

Record 8
# Li3FeNi3O8
Simulated powder diffraction line list, Cu Kα (λ = 1.5418 Å). Input: a DFT-relaxed cell (PBE+U, the Materials Project).

Principal peaks in the range 2θ from 10° to 80°, by angle:
| hkl | two_theta | I_rel |
| --- | --- | --- |
| 0 0 1 | 18.29 | 100 |
| 4 0 -1 | 35.94 | 13 |
| 2 2 -1 | 36.41 | 25 |
| 4 0 0 | 43.15 | 22 |
| 2 2 -2 | 44.06 | 41 |
| 6 2 -2 | 63.96 | 11 |

Structure:
```
data_Li3FeNi3O8
_cell_length_a 10.113
_cell_length_b 5.779
_cell_length_c 5.851
_cell_angle_alpha 90.00
_cell_angle_beta 123.98
_cell_angle_gamma 90.00
_space_group_name_H-M_alt 'C 1 2/m 1'
_space_group_IT_number 12
loop_
_space_group_symop_operation_xyz
'x,y,z'
'-x,-y,-z'
'-x,y,-z'
'x,-y,z'
'x+1/2,y+1/2,z'
'-x+1/2,-y+1/2,-z'
'-x+1/2,y+1/2,-z'
'x+1/2,-y+1/2,z'
loop_
_atom_site_label
_atom_site_fract_x
_atom_site_fract_y
_atom_site_fract_z
Li1 0.000 0.000 0.000
Li2 0.250 0.250 0.000
Fe1 0.000 0.500 0.500
Ni1 0.000 0.000 0.500
Ni2 0.250 0.250 0.500
O1 0.002 0.234 0.278
O2 0.224 0.000 0.704
O3 0.238 0.500 0.723
```

> What is the formula in the third record?

Ba2YMgFe3O8

Repeat the seventh record exactly.
# Na2CoH4C4O8
Simulated powder diffraction line list, Cu Kα (λ = 1.5418 Å). Input: a DFT-relaxed cell (PBE+U, the Materials Project).

Principal peaks in the range 2θ from 10° to 80°, by angle:
| hkl | two_theta | I_rel |
| --- | --- | --- |
| 2 0 0 | 11.48 | 100 |
| 1 1 -1 | 16.30 | 35 |
| 1 1 1 | 19.05 | 22 |
| 3 1 -1 | 20.92 | 17 |
| 3 1 1 | 27.08 | 25 |
| 4 0 -2 | 29.89 | 15 |

Structure:
```
data_Na2CoH4C4O8
_cell_length_a 16.151
_cell_length_b 8.971
_cell_length_c 6.889
_cell_angle_alpha 90.00
_cell_angle_beta 107.96
_cell_angle_gamma 90.00
_space_group_name_H-M_alt 'C 1 2/c 1'
_space_group_IT_number 15
loop_
_space_group_symop_operation_xyz
'x,y,z'
'-x,-y,-z'
'-x,y,-z+1/2'
'x,-y,z+1/2'
'x+1/2,y+1/2,z'
'-x+1/2,-y+1/2,-z'
'-x+1/2,y+1/2,-z+1/2'
'x+1/2,-y+1/2,z+1/2'
loop_
_atom_site_label
_atom_site_fract_x
_atom_site_fract_y
_atom_site_fract_z
Na1 0.104 0.097 0.184
Co1 0.250 0.250 0.000
H1 0.072 0.342 0.626
H2 0.149 0.449 0.408
C1 0.084 0.220 0.642
C2 0.195 0.442 0.316
O1 0.053 0.139 0.487
O2 0.128 0.172 0.818
O3 0.187 0.326 0.207
O4 0.248 0.452 0.829
```